[1]
For Dy12GaCo6, a crystal structure in Alexandria, relaxed with PBE gives the theoretical powder diffractogram in this record (Cu Kα X-rays).
Peak positions follow from Bragg's law for the DFT cell and can differ from measured ones.

Cell and atoms:
```
Dy12GaCo6
1.0
-4.7985 4.7985 4.7985
4.7985 -4.7985 4.7985
4.7985 4.7985 -4.7985
Dy Ga Co
12 1 6
Cartesian
4.7985 -1.9133 2.9456
2.8852 1.8529 0.0000
6.7118 1.8529 0.0000
2.9456 4.7985 -1.9133
1.8529 0.0000 2.8852
0.0000 2.8852 1.8529
4.7985 1.9133 2.9456
2.9456 4.7985 1.9133
1.8529 0.0000 6.7118
-1.9133 2.9456 4.7985
1.9133 2.9456 4.7985
0.0000 6.7118 1.8529
0.0000 0.0000 0.0000
4.7985 0.0000 1.0919
4.7985 3.7066 0.0000
1.0919 4.7985 0.0000
3.7066 0.0000 4.7985
0.0000 1.0919 4.7985
0.0000 4.7985 3.7066
```

Largest 10 diffraction maxima, low angle first, 10° ≤ 2θ ≤ 90°:
- 2θ 29.43, I 448
- 2θ 32.31, I 544
- 2θ 34.98, I 1000
- 2θ 37.49, I 206
- 2θ 48.36, I 212
- 2θ 55.86, I 394
- 2θ 59.36, I 378
- 2θ 69.22, I 201
- 2θ 85.94, I 155
- 2θ 87.42, I 187

---

[2]
For LiHo6In, a crystal structure in Alexandria, relaxed with PBE gives the theoretical powder diffractogram in this record (Cu Kα X-rays).
Peak positions follow from Bragg's law for the DFT cell and can differ from measured ones.

Cell and atoms:
```
LiHo6In
1.0
6.1265 0.0000 0.0000
-0.0227 6.1305 0.0000
-0.0472 -0.0335 6.1303
Li Ho In
1 6 1
Cartesian
0.0000 0.0000 0.0000
0.1087 3.1375 1.5610
1.5357 0.1170 3.1359
2.9183 4.5362 5.9930
3.1382 1.5608 0.1373
4.5208 5.9800 2.9944
5.9478 2.9594 4.5693
3.0282 3.0485 3.0651
```

Largest 10 diffraction maxima, low angle first, 10° ≤ 2θ ≤ 90°:
- 2θ 20.55, I 161
- 2θ 29.14, I 281
- 2θ 32.59, I 1000
- 2θ 32.75, I 904
- 2θ 35.81, I 375
- 2θ 35.90, I 168
- 2θ 36.06, I 176
- 2θ 51.52, I 143
- 2θ 53.76, I 146
- 2θ 60.41, I 204